Record 1
The following is a theoretical XRD peak list of CdCu2SnTe3S. It was derived from a DFT-relaxed cell (GGA-PBE, OQMD), using Cu Kα.

Cell and atoms:
a = 8.6717 Å, b = 8.6868 Å, c = 7.4056 Å
α = 90.00°, β = 125.12°, γ = 90.00°
Space group Cm (No. 8)
Symmetry-distinct sites (fractional):
Cd 0.0000 0.0000 0.0000
Cu 0.0310 0.2757 0.5387
Sn 0.0338 0.5000 0.0080
Te 0.1350 0.0000 0.7249
Te 0.1652 0.2501 0.3036
S 0.1314 0.5000 0.7447

Largest 6 diffraction maxima, in order of falling intensity, 10° ≤ 2θ ≤ 80°:
2θ/deg  I/Imax  hkl
25.2  100  0 2 1
41.6  49  4 0 -2
25.1  45  2 0 0
25.4  45  2 0 -2
41.7  44  2 2 1
42.1  42  2 2 -3



Record 2
The following is a theoretical XRD peak list of Sc2CdCu. It was derived from a DFT-relaxed cell (GGA-PBE, OQMD), using Cu Kα.

Cell and atoms:
a = 6.6769 Å, b = 6.6769 Å, c = 6.6769 Å
α = 90.00°, β = 90.00°, γ = 90.00°
Space group F-43m (No. 216)
Symmetry-distinct sites (fractional):
Sc 0.0000 0.0000 0.0000
Sc 0.2500 0.2500 0.2500
Cd 0.0000 0.0000 0.5000
Cu 0.2500 0.2500 0.7500

Largest 6 diffraction maxima, in order of falling intensity, 10° ≤ 2θ ≤ 80°:
2θ/deg  I/Imax  hkl
38.1  100  2 2 0
68.9  31  4 2 2
23.1  18  1 1 1
55.0  16  4 0 0
45.0  9  3 1 1
60.4  4  3 3 1



Record 3
The following is a theoretical XRD peak list of ScCdCu4. It was derived from a DFT-relaxed cell (GGA-PBE, OQMD), using Cu Kα.

Cell and atoms:
a = 4.9803 Å, b = 4.9803 Å, c = 12.1727 Å
α = 90.00°, β = 90.00°, γ = 120.00°
Space group R3m (No. 160, hexagonal axes)
Symmetry-distinct sites (fractional):
Sc 0.0000 0.0000 0.0000
Cd 0.0000 0.0000 0.2503
Cu 0.0000 0.0000 0.6245
Cu 0.0003 0.5002 0.1249

Largest 6 diffraction maxima, in order of falling intensity, 10° ≤ 2θ ≤ 80°:
2θ/deg  I/Imax  hkl
42.6  100  1 1 3
44.6  36  0 0 6
36.1  31  1 1 0
69.4  27  3 0 3
76.5  11  2 2 0
76.6  11  2 0 8



Record 4
The following is a theoretical XRD peak list of TbYCd2Cu4. It was derived from a DFT-relaxed cell (GGA-PBE, OQMD), using Cu Kα.

Cell and atoms:
a = 4.6909 Å, b = 4.6909 Å, c = 6.6339 Å
α = 90.00°, β = 90.00°, γ = 90.00°
Space group P4/mmm (No. 123)
Symmetry-distinct sites (fractional):
Tb 0.0000 0.0000 0.0000
Y 0.5000 0.5000 0.5000
Cd 0.0000 0.0000 0.5000
Cd 0.5000 0.5000 0.0000
Cu 0.0000 0.5000 0.2499

Largest 6 diffraction maxima, in order of falling intensity, 10° ≤ 2θ ≤ 80°:
2θ/deg  I/Imax  hkl
38.4  100  2 0 0
69.4  32  3 1 2
55.4  17  2 2 0
26.9  9  1 1 0
62.6  4  3 1 0
47.5  3  2 0 2



Record 5
The following is a theoretical XRD peak list of CdCuTe. It was derived from a DFT-relaxed cell (GGA-PBE, OQMD), using Cu Kα.

Cell and atoms:
a = 6.7140 Å, b = 6.7140 Å, c = 6.7140 Å
α = 90.00°, β = 90.00°, γ = 90.00°
Space group F-43m (No. 216)
Symmetry-distinct sites (fractional):
Cd 0.0000 0.0000 0.0000
Cu 0.0000 0.0000 0.5000
Te 0.2500 0.2500 0.2500

Largest 6 diffraction maxima, in order of falling intensity, 10° ≤ 2θ ≤ 80°:
2θ/deg  I/Imax  hkl
37.9  100  2 2 0
22.9  45  1 1 1
68.5  33  4 2 2
44.8  23  3 1 1
54.7  17  4 0 0
60.1  9  3 3 1



Record 6
The following is a theoretical XRD peak list of Th2CdCu2. It was derived from a DFT-relaxed cell (GGA-PBE, OQMD), using Cu Kα.

Cell and atoms:
a = 5.6697 Å, b = 5.6697 Å, c = 15.5211 Å
α = 90.00°, β = 90.00°, γ = 90.00°
Space group I4_1/amd (No. 141, origin choice 2)
Symmetry-distinct sites (fractional):
Th 0.0000 0.2500 0.0752
Cd 0.0000 0.2500 0.8750
Cu 0.0000 0.0000 0.5000

Largest 6 diffraction maxima, in order of falling intensity, 10° ≤ 2θ ≤ 80°:
2θ/deg  I/Imax  hkl
32.9  100  1 0 5
31.6  81  2 0 0
25.0  55  1 1 2
35.9  45  2 1 1
46.2  39  2 1 5
39.6  33  2 1 3



Record 7
The following is a theoretical XRD peak list of Dy2ErCd3InGa2. It was derived from a DFT-relaxed cell (GGA-PBE, OQMD), using Cu Kα.

Cell and atoms:
a = 4.5022 Å, b = 12.6337 Å, c = 7.2994 Å
α = 90.00°, β = 90.00°, γ = 90.00°
Space group Amm2 (No. 38)
Symmetry-distinct sites (fractional):
Dy 0.0000 0.2187 0.0000
Er 0.0000 0.0000 0.3438
Cd 0.5000 0.0000 0.0368
Cd 0.5000 0.1277 0.6536
In 0.0000 0.0000 0.7811
Ga 0.5000 0.1665 0.2813

Largest 6 diffraction maxima, in order of falling intensity, 10° ≤ 2θ ≤ 80°:
2θ/deg  I/Imax  hkl
34.7  100  1 4 0
31.6  63  1 3 1
37.7  34  0 1 3
40.1  28  2 0 0
56.1  21  2 1 3
67.9  20  1 1 5



Record 8
The following is a theoretical XRD peak list of Dy2ErCdIr4. It was derived from a DFT-relaxed cell (GGA-PBE, OQMD), using Cu Kα.

Cell and atoms:
a = 4.7575 Å, b = 4.7575 Å, c = 6.7605 Å
α = 90.00°, β = 90.00°, γ = 90.00°
Space group P4/mmm (No. 123)
Symmetry-distinct sites (fractional):
Dy 0.0000 0.0000 0.0000
Dy 0.5000 0.5000 0.5000
Er 0.0000 0.0000 0.5000
Cd 0.5000 0.5000 0.0000
Ir 0.0000 0.5000 0.2531

Largest 6 diffraction maxima, in order of falling intensity, 10° ≤ 2θ ≤ 80°:
2θ/deg  I/Imax  hkl
37.8  100  2 0 0
68.2  24  3 1 2
68.0  12  2 0 4
54.6  12  2 2 0
54.3  6  0 0 4
26.5  1  1 1 0



Record 9
The following is a theoretical XRD peak list of Gd2DyMg3CdGa2. It was derived from a DFT-relaxed cell (GGA-PBE, OQMD), using Cu Kα.

Cell and atoms:
a = 4.4851 Å, b = 12.7904 Å, c = 7.4164 Å
α = 90.00°, β = 90.00°, γ = 90.00°
Space group Amm2 (No. 38)
Symmetry-distinct sites (fractional):
Gd 0.0000 0.2153 0.0000
Dy 0.0000 0.0000 0.3541
Mg 0.5000 0.0000 0.0339
Mg 0.5000 0.1244 0.6596
Cd 0.0000 0.0000 0.7829
Ga 0.5000 0.1659 0.2848

Largest 6 diffraction maxima, in order of falling intensity, 10° ≤ 2θ ≤ 80°:
2θ/deg  I/Imax  hkl
34.4  100  1 4 0
31.3  50  1 3 1
27.8  37  0 2 2
19.8  26  1 0 0
40.2  22  2 0 0
24.1  16  0 0 2



Record 10
The following is a theoretical XRD peak list of Pr2DyMg3CdGa2. It was derived from a DFT-relaxed cell (GGA-PBE, OQMD), using Cu Kα.

Cell and atoms:
a = 4.5738 Å, b = 12.9094 Å, c = 7.5568 Å
α = 90.00°, β = 90.00°, γ = 90.00°
Space group Amm2 (No. 38)
Symmetry-distinct sites (fractional):
Pr 0.0000 0.2138 0.0000
Dy 0.0000 0.0000 0.3558
Mg 0.5000 0.0000 0.0315
Mg 0.5000 0.1237 0.6591
Cd 0.0000 0.0000 0.7756
Ga 0.5000 0.1627 0.2867

Largest 6 diffraction maxima, in order of falling intensity, 10° ≤ 2θ ≤ 80°:
2θ/deg  I/Imax  hkl
33.8  100  1 2 2
30.9  56  1 3 1
34.0  53  1 4 0
19.4  38  1 0 0
27.4  37  0 2 2
39.4  35  2 0 0



Record 11
The following is a theoretical XRD peak list of GdDyCd3Ni2. It was derived from a DFT-relaxed cell (GGA-PBE, OQMD), using Cu Kα.

Cell and atoms:
a = 3.6332 Å, b = 3.9355 Å, c = 20.5680 Å
α = 90.00°, β = 90.00°, γ = 90.00°
Space group Amm2 (No. 38)
Symmetry-distinct sites (fractional):
Gd 0.0000 0.0000 0.0000
Dy 0.0000 0.0000 0.6545
Cd 0.0000 0.0000 0.8271
Cd 0.5000 0.0000 0.2493
Cd 0.5000 0.0000 0.4047
Ni 0.5000 0.0000 0.1141
Ni 0.5000 0.0000 0.5420

Largest 6 diffraction maxima, in order of falling intensity, 10° ≤ 2θ ≤ 80°:
2θ/deg  I/Imax  hkl
36.0  100  1 0 6
33.9  99  1 1 1
38.2  43  0 1 7
31.5  35  0 1 5
59.9  34  1 2 6
46.1  26  0 2 0



Record 12
The following is a theoretical XRD peak list of Gd2DyTl2Cd4. It was derived from a DFT-relaxed cell (GGA-PBE, OQMD), using Cu Kα.

Cell and atoms:
a = 4.5768 Å, b = 13.1195 Å, c = 7.6001 Å
α = 90.00°, β = 90.00°, γ = 90.00°
Space group Amm2 (No. 38)
Symmetry-distinct sites (fractional):
Gd 0.0000 0.2129 0.0000
Dy 0.0000 0.0000 0.3614
Tl 0.5000 0.1659 0.2871
Cd 0.0000 0.0000 0.7854
Cd 0.5000 0.0000 0.0266
Cd 0.5000 0.1200 0.6668

Largest 6 diffraction maxima, in order of falling intensity, 10° ≤ 2θ ≤ 80°:
2θ/deg  I/Imax  hkl
33.6  100  1 4 0
30.6  79  1 3 1
39.4  32  2 0 0
36.1  27  0 1 3
41.3  26  0 6 0
54.5  24  2 1 3



What did the ninth record say?
The following is a theoretical XRD peak list of Gd2DyMg3CdGa2. It was derived from a DFT-relaxed cell (GGA-PBE, OQMD), using Cu Kα.

Cell and atoms:
a = 4.4851 Å, b = 12.7904 Å, c = 7.4164 Å
α = 90.00°, β = 90.00°, γ = 90.00°
Space group Amm2 (No. 38)
Symmetry-distinct sites (fractional):
Gd 0.0000 0.2153 0.0000
Dy 0.0000 0.0000 0.3541
Mg 0.5000 0.0000 0.0339
Mg 0.5000 0.1244 0.6596
Cd 0.0000 0.0000 0.7829
Ga 0.5000 0.1659 0.2848

Largest 6 diffraction maxima, in order of falling intensity, 10° ≤ 2θ ≤ 80°:
2θ/deg  I/Imax  hkl
34.4  100  1 4 0
31.3  50  1 3 1
27.8  37  0 2 2
19.8  26  1 0 0
40.2  22  2 0 0
24.1  16  0 0 2



Copy entry 10 word for word.
The following is a theoretical XRD peak list of Pr2DyMg3CdGa2. It was derived from a DFT-relaxed cell (GGA-PBE, OQMD), using Cu Kα.

Cell and atoms:
a = 4.5738 Å, b = 12.9094 Å, c = 7.5568 Å
α = 90.00°, β = 90.00°, γ = 90.00°
Space group Amm2 (No. 38)
Symmetry-distinct sites (fractional):
Pr 0.0000 0.2138 0.0000
Dy 0.0000 0.0000 0.3558
Mg 0.5000 0.0000 0.0315
Mg 0.5000 0.1237 0.6591
Cd 0.0000 0.0000 0.7756
Ga 0.5000 0.1627 0.2867

Largest 6 diffraction maxima, in order of falling intensity, 10° ≤ 2θ ≤ 80°:
2θ/deg  I/Imax  hkl
33.8  100  1 2 2
30.9  56  1 3 1
34.0  53  1 4 0
19.4  38  1 0 0
27.4  37  0 2 2
39.4  35  2 0 0